# 1
Simulated PXRD pattern of Mg2ZnSe for Cu Kα (λ = 1.5418 Å), from the PBE geometry in Alexandria.
Neutral-atom scattering factors, no anomalous dispersion.

Atomic structure:
```
8
Lattice="3.6315 0.0000 0.0000 0.0000 7.7656 0.0000 0.0000 0.0000 5.8954" Properties=species:S:1:pos:R:3 pbc="T T T"
Mg 0.9079 0.2651 1.2731
Mg 0.9079 3.6177 1.2731
Mg 2.7236 4.1479 4.6223
Mg 2.7236 7.5005 4.6223
Zn 0.9079 1.9414 4.9308
Zn 2.7236 5.8242 0.9646
Se 0.9079 5.8242 3.3016
Se 2.7236 1.9414 2.5938
```

Largest 10 diffraction maxima, in order of falling intensity, 15 to 90 degrees two-theta:
Position (°2θ)	d [Å]	Rel. int.
31.13	2.873	100
37.17	2.419	89
22.90	3.883	46
32.49	2.756	45
46.75	1.943	42
41.12	2.195	37
45.71	1.985	29
71.05	1.327	23
50.25	1.816	20
73.51	1.288	18



# 2
Simulated PXRD pattern of CsSb2F11 for Cu Kα (λ = 1.5418 Å), from the PBE geometry in Alexandria.
Neutral-atom scattering factors, no anomalous dispersion.

Atomic structure:
```
56
Lattice="7.8776 0.0000 0.0000 0.0000 14.6968 0.0000 -4.1052 0.0000 9.1097" Properties=species:S:1:pos:R:3 pbc="T T T"
Cs 1.0274 1.8602 2.0637
Cs -1.0252 5.4882 6.6186
Cs 4.7976 9.2086 2.4912
Cs 2.7449 12.8366 7.0461
Sb -1.5851 10.2144 7.3798
Sb 0.4675 11.8308 2.8249
Sb -1.2741 0.7375 6.8981
Sb 0.7785 6.6109 2.3432
Sb 2.9938 8.0859 6.7666
Sb 5.0464 13.9593 2.2117
Sb 3.3048 2.8660 6.2848
Sb 5.3574 4.4824 1.7299
F -3.3893 9.2243 7.6887
F -1.3367 12.8208 3.1339
F -2.3912 10.7833 5.7482
F -0.3386 11.2619 1.1933
F -0.0271 8.0677 1.4279
F -2.0797 13.9774 5.9828
F -2.5334 0.4689 8.3114
F -0.4808 6.8795 3.7565
F -0.3837 10.3669 3.6954
F -2.4364 11.6783 8.2502
F -0.9882 8.6104 6.5468
F 1.0645 13.4348 1.9920
F -0.2384 1.2159 5.3752
F 1.8142 6.1325 0.8203
F -0.7761 2.3801 7.7322
F 1.2766 4.9683 3.1773
F -1.0979 9.4783 9.0684
F 0.9547 12.5669 4.5135
F 2.1025 10.9107 2.5868
F 0.0499 11.1345 7.1417
F 2.1484 7.6622 3.1033
F 0.0958 14.3830 7.6582
F 3.6766 0.3138 1.4515
F 1.6239 7.0346 6.0064
F 3.7224 3.5623 1.9680
F 1.6698 3.7861 6.5229
F 2.8176 2.1299 4.5963
F 4.8703 5.2185 0.0414
F 2.4958 9.7285 5.9324
F 4.5484 12.3167 1.3776
F 1.9581 8.5643 8.2894
F 4.0107 13.4809 3.7346
F 2.7079 1.2620 7.1178
F 4.7605 6.0864 2.5629
F 6.2087 3.0185 0.8595
F 4.1560 4.3299 5.4144
F 4.2531 7.8173 5.3532
F 6.3057 14.2279 0.7983
F 5.8520 0.7193 3.1270
F 3.7994 6.6290 7.6818
F 4.1109 3.4349 7.9165
F 6.1635 3.9135 3.3616
F 5.1090 1.8759 5.9759
F 7.1617 5.4725 1.4210
```

Largest 10 diffraction maxima, in order of falling intensity, 15 to 90 degrees two-theta:
Position (°2θ)	d [Å]	Rel. int.
21.92	4.055	100
19.49	4.555	58
24.79	3.591	30
26.08	3.417	27
24.46	3.639	22
25.84	3.448	18
38.04	2.365	15
48.28	1.885	13
43.51	2.080	11
32.83	2.728	11



# 3
Simulated PXRD pattern of V5SiRu6 for Cu Kα (λ = 1.5418 Å), from the PBE geometry in Alexandria.
Neutral-atom scattering factors, no anomalous dispersion.

Atomic structure:
```
12
Lattice="4.2167 0.0000 0.0000 0.0000 5.9431 0.0000 -2.0979 0.0000 6.4412" Properties=species:S:1:pos:R:3 pbc="T T T"
V 0.0000 0.0000 0.0000
V 0.0110 2.9716 4.2024
V 0.0106 0.0000 4.2504
V 2.1082 0.0000 2.1908
V 2.1079 2.9716 2.2388
Si 0.0000 2.9716 0.0000
Ru -0.0002 1.5031 2.0483
Ru -0.0002 4.4400 2.0483
Ru 2.1084 1.5289 0.0000
Ru 2.1084 4.4143 0.0000
Ru 2.1190 1.5031 4.3929
Ru 2.1190 4.4400 4.3929
```

Largest 10 diffraction maxima, in order of falling intensity, 15 to 90 degrees two-theta:
Position (°2θ)	d [Å]	Rel. int.
42.77	2.114	100
42.08	2.147	25
42.89	2.108	25
29.69	3.009	19
78.50	1.218	16
30.07	2.972	10
61.60	1.506	8
61.71	1.503	8
62.51	1.486	8
78.80	1.215	8



# 4
Simulated PXRD pattern of LiCdHg4 for Cu Kα (λ = 1.5418 Å), from the PBE geometry in Alexandria.
Neutral-atom scattering factors, no anomalous dispersion.

Atomic structure:
```
12
Lattice="14.2400 0.0000 0.0000 0.0000 3.3799 0.0000 -2.5791 0.0000 5.9046" Properties=species:S:1:pos:R:3 pbc="T T T"
Li 0.0000 0.0000 0.0000
Li 7.1200 1.6899 0.0000
Cd -1.2895 0.0000 2.9523
Cd 5.8305 1.6899 2.9523
Hg -0.1742 1.6899 5.2997
Hg 1.2243 1.6899 2.1965
Hg 3.3166 0.0000 3.7081
Hg 4.7151 0.0000 0.6049
Hg 6.9458 0.0000 5.2997
Hg 8.3443 0.0000 2.1965
Hg 10.4366 1.6899 3.7081
Hg 11.8351 1.6899 0.6049
```

Largest 10 diffraction maxima, in order of falling intensity, 15 to 90 degrees two-theta:
Position (°2θ)	d [Å]	Rel. int.
33.58	2.669	100
27.30	3.267	52
27.74	3.216	43
38.99	2.310	42
38.16	2.358	31
44.88	2.020	25
41.52	2.175	23
43.29	2.090	21
31.71	2.822	21
62.51	1.486	17



# 5
Simulated PXRD pattern of Ho4ErPt2 for Cu Kα (λ = 1.5418 Å), from the PBE geometry in Alexandria.
Neutral-atom scattering factors, no anomalous dispersion.

Atomic structure:
```
14
Lattice="7.7259 0.0000 0.0000 0.0000 6.3163 0.0000 -3.0938 0.0000 7.4327" Properties=species:S:1:pos:R:3 pbc="T T T"
Ho -1.0651 1.5791 2.8807
Ho 0.8415 4.7372 2.5608
Ho 0.7853 0.0316 5.7199
Ho 0.7853 3.1266 5.7199
Ho 3.8468 3.1897 1.7128
Ho 3.8468 6.2847 1.7128
Ho 3.7906 1.5791 4.8719
Ho 5.6972 4.7372 4.5520
Er 1.0975 1.5791 0.2087
Er 3.5346 4.7372 7.2240
Pt -1.1861 4.7372 7.3638
Pt 1.6445 1.5791 3.0684
Pt 2.9876 4.7372 4.3643
Pt 5.8182 1.5791 0.0689
```

Largest 10 diffraction maxima, in order of falling intensity, 15 to 90 degrees two-theta:
Position (°2θ)	d [Å]	Rel. int.
34.88	2.572	100
37.37	2.407	84
31.44	2.845	73
39.01	2.309	72
36.84	2.440	70
31.12	2.874	53
28.26	3.158	52
35.28	2.544	50
30.73	2.910	49
40.54	2.225	47



# 6
Simulated PXRD pattern of Tb2Y4ErTm2 for Cu Kα (λ = 1.5418 Å), from the PBE geometry in Alexandria.
Neutral-atom scattering factors, no anomalous dispersion.

Atomic structure:
```
9
Lattice="9.3011 -1.7897 0.0000 9.3011 1.7897 0.0000 -4.1345 0.0000 8.5411" Properties=species:S:1:pos:R:3 pbc="T T T"
Tb 2.0730 0.0000 1.4351
Tb 12.3948 0.0000 7.1060
Y 0.0045 0.0000 7.1064
Y 8.2685 0.0000 1.4241
Y 6.1993 0.0000 7.1170
Y 14.4632 0.0000 1.4347
Er -2.0673 0.0000 4.2705
Tm 4.1283 0.0000 4.2774
Tm 10.3395 0.0000 4.2637
```

Largest 10 diffraction maxima, in order of falling intensity, 15 to 90 degrees two-theta:
Position (°2θ)	d [Å]	Rel. int.
32.07	2.791	100
33.79	2.653	86
29.01	3.078	47
31.42	2.847	47
61.16	1.515	41
51.03	1.790	36
55.22	1.663	22
40.50	2.228	20
58.57	1.576	17
87.57	1.114	16



# 7
Simulated PXRD pattern of Sn3Pt7 for Cu Kα (λ = 1.5418 Å), from the PBE geometry in Alexandria.
Neutral-atom scattering factors, no anomalous dispersion.

Atomic structure:
```
10
Lattice="7.8230 -1.9929 0.0000 7.8230 1.9929 0.0000 -0.9762 0.0000 5.5540" Properties=species:S:1:pos:R:3 pbc="T T T"
Sn 0.0000 0.0000 0.0000
Sn 2.3311 0.0000 3.4867
Sn 12.3386 0.0000 2.0673
Pt -0.4881 0.0000 2.7770
Pt 3.1077 0.0000 0.8048
Pt 6.1348 0.0000 1.1029
Pt 5.6298 0.0000 3.9022
Pt 9.0399 0.0000 1.6518
Pt 8.5349 0.0000 4.4511
Pt 11.5621 0.0000 4.7492
```

Largest 10 diffraction maxima, in order of falling intensity, 15 to 90 degrees two-theta:
Position (°2θ)	d [Å]	Rel. int.
36.87	2.438	100
39.14	2.302	81
43.34	2.088	29
43.67	2.073	29
45.51	1.993	29
78.41	1.220	22
64.91	1.437	18
64.66	1.442	18
73.80	1.284	12
74.27	1.277	11



# 8
Simulated PXRD pattern of PaCo7C2 for Cu Kα (λ = 1.5418 Å), from the PBE geometry in Alexandria.
Neutral-atom scattering factors, no anomalous dispersion.

Atomic structure:
```
10
Lattice="3.1198 -4.9246 0.0000 3.1198 4.9246 0.0000 0.0000 0.0000 3.7874" Properties=species:S:1:pos:R:3 pbc="T T T"
Pa 0.0000 0.0000 0.0000
Co 1.2016 1.3599 1.8937
Co 3.1198 1.7244 0.0000
Co 1.2016 -1.3599 1.8937
Co 3.1198 0.0000 1.8937
Co 5.0380 1.3599 1.8937
Co 3.1198 -1.7244 0.0000
Co 5.0380 -1.3599 1.8937
C 3.1198 1.9892 1.8937
C 3.1198 -1.9892 1.8937
```

Largest 10 diffraction maxima, in order of falling intensity, 15 to 90 degrees two-theta:
Position (°2θ)	d [Å]	Rel. int.
39.07	2.305	100
37.34	2.408	53
16.82	5.271	42
29.03	3.076	32
50.94	1.793	30
48.05	1.894	28
47.01	1.933	25
87.54	1.114	25
52.05	1.757	23
30.77	2.905	22